Entry 1:
This entry pairs a crystal structure of SrNp4Ni3S12 with its simulated powder X-ray diffraction pattern. Radiation: Cu Kα (weighted mean of Kα1 and Kα2). Structure: a crystal structure in Alexandria, relaxed with GGA-PBE.

Most intense lines, 2θ from 10° to 90°, low angle first:
| 2theta | intensity |
| --- | --- |
| 18.51 | 37 |
| 26.30 | 100 |
| 32.36 | 10 |
| 37.53 | 24 |
| 42.16 | 26 |
| 46.41 | 61 |
| 54.13 | 14 |
| 61.15 | 23 |
| 74.01 | 24 |
| 86.07 | 18 |

Crystal structure
Cell: 8.301 8.301 8.301 Å, 109.47 109.47 109.47°
Atoms (fractional coordinates):
Sr (0.000, 0.000, 0.000)
Np (0.000, 0.000, 0.500)
Np (0.000, 0.500, 0.000)
Np (0.500, 0.000, 0.000)
Np (0.500, 0.500, 0.500)
Ni (0.000, 0.500, 0.500)
Ni (0.500, 0.000, 0.500)
Ni (0.500, 0.500, 0.000)
S (0.155, 0.323, 0.478)
S (0.155, 0.677, 0.833)
S (0.167, 0.845, 0.323)
S (0.323, 0.167, 0.845)
S (0.323, 0.478, 0.155)
S (0.478, 0.155, 0.323)
S (0.522, 0.845, 0.677)
S (0.677, 0.522, 0.845)
S (0.677, 0.833, 0.155)
S (0.833, 0.155, 0.677)
S (0.845, 0.323, 0.167)
S (0.845, 0.677, 0.522)

---

Entry 2:
This entry pairs a crystal structure of Np4TlNi3S12 with its simulated powder X-ray diffraction pattern. Radiation: Cu Kα (weighted mean of Kα1 and Kα2). Structure: a crystal structure in Alexandria, relaxed with GGA-PBE.

Most intense lines, 2θ from 10° to 90°, low angle first:
| 2theta | intensity |
| --- | --- |
| 18.48 | 20 |
| 26.25 | 100 |
| 29.42 | 8 |
| 37.47 | 23 |
| 42.09 | 15 |
| 46.33 | 59 |
| 54.03 | 14 |
| 61.04 | 23 |
| 73.86 | 23 |
| 85.89 | 17 |

Crystal structure
Cell: 8.315 8.315 8.315 Å, 109.47 109.47 109.47°
Atoms (fractional coordinates):
Np (0.000, 0.000, 0.500)
Np (0.000, 0.500, 0.000)
Np (0.500, 0.000, 0.000)
Np (0.500, 0.500, 0.500)
Tl (0.000, 0.000, 0.000)
Ni (0.000, 0.500, 0.500)
Ni (0.500, 0.000, 0.500)
Ni (0.500, 0.500, 0.000)
S (0.160, 0.330, 0.490)
S (0.160, 0.670, 0.830)
S (0.170, 0.840, 0.330)
S (0.330, 0.170, 0.840)
S (0.330, 0.490, 0.160)
S (0.490, 0.160, 0.330)
S (0.510, 0.840, 0.670)
S (0.670, 0.510, 0.840)
S (0.670, 0.830, 0.160)
S (0.830, 0.160, 0.670)
S (0.840, 0.330, 0.170)
S (0.840, 0.670, 0.510)

---

Entry 3:
This entry pairs a crystal structure of Y2NpNiS5 with its simulated powder X-ray diffraction pattern. Radiation: Cu Kα (weighted mean of Kα1 and Kα2). Structure: a crystal structure in Alexandria, relaxed with GGA-PBE.

Most intense lines, 2θ from 10° to 90°, low angle first:
| 2theta | intensity |
| --- | --- |
| 13.14 | 42 |
| 15.20 | 21 |
| 18.64 | 24 |
| 22.86 | 28 |
| 25.33 | 44 |
| 28.78 | 35 |
| 33.62 | 100 |
| 37.07 | 23 |
| 39.50 | 47 |
| 46.12 | 24 |

Crystal structure
Cell: 8.463 8.463 11.658 Å, 90.00 90.00 154.35°
Atoms (fractional coordinates):
Y (0.106, 0.894, 0.500)
Y (0.116, 0.884, 0.842)
Y (0.884, 0.116, 0.342)
Y (0.894, 0.106, 0.000)
Np (0.176, 0.824, 0.177)
Np (0.824, 0.176, 0.677)
Ni (0.450, 0.550, 0.569)
Ni (0.550, 0.450, 0.069)
S (0.016, 0.984, 0.163)
S (0.304, 0.696, 0.846)
S (0.320, 0.680, 0.508)
S (0.343, 0.657, 0.168)
S (0.496, 0.504, 0.895)
S (0.504, 0.496, 0.395)
S (0.657, 0.343, 0.668)
S (0.680, 0.320, 0.008)
S (0.696, 0.304, 0.346)
S (0.984, 0.016, 0.663)